(1)
Structure and simulated powder diffraction line list of Ce3Ag4Ge4 (a PBE-relaxed structure; Cu Kα X-rays).
Kinematic intensities with the Lorentz-polarization factor, no thermal factor.

Principal peaks in the range 2θ = 10–90°, by intensity:
two_theta	d_spacing	I/Imax
32.42	2.762	100
33.89	2.645	99
40.45	2.230	47
41.68	2.167	40
36.55	2.458	31
36.83	2.440	28
59.48	1.554	27
32.79	2.732	26
69.37	1.355	21
44.53	2.035	18

Cell: 4.4598 7.2431 14.7466 Å, 90.00 90.00 90.00°
Space group Immm (No. 71)
One atom of each set of equivalent atoms:
1 Ce 0.0000 0.0000 0.0000 (multiplicity 2)
2 Ce 0.0000 0.5000 0.1273 (multiplicity 4)
3 Ag 0.0000 0.3072 0.3331 (multiplicity 8)
4 Ge 0.0000 0.0000 0.2181 (multiplicity 4)
5 Ge 0.0000 0.1806 0.5000 (multiplicity 4)

***

(2)
Structure and simulated powder diffraction line list of Rb2Be2O3 (a PBE-relaxed structure; Cu Kα X-rays).
Kinematic intensities with the Lorentz-polarization factor, no thermal factor.

Principal peaks in the range 2θ = 10–90°, by intensity:
two_theta	d_spacing	I/Imax
31.71	2.822	100
32.70	2.739	61
21.60	4.115	57
29.43	3.035	48
35.55	2.525	41
33.16	2.702	34
20.00	4.439	25
52.70	1.737	25
58.33	1.582	23
49.40	1.845	19

Cell: 10.9647 5.4035 7.7855 Å, 90.00 90.00 90.00°
Space group Pnma (No. 62)
One atom of each set of equivalent atoms:
1 Rb 0.0803 0.2500 0.1304 (multiplicity 4)
2 Rb 0.1164 0.7500 0.4930 (multiplicity 4)
3 Be 0.1676 0.2500 0.7246 (multiplicity 4)
4 Be 0.2132 0.7500 0.8947 (multiplicity 4)
5 O 0.1605 0.5005 0.8251 (multiplicity 8)
6 O 0.1786 0.2500 0.5243 (multiplicity 4)

***

(3)
Structure and simulated powder diffraction line list of HgC2O4 (a PBE-relaxed structure; Cu Kα X-rays).
Kinematic intensities with the Lorentz-polarization factor, no thermal factor.

Principal peaks in the range 2θ = 10–90°, by intensity:
two_theta	d_spacing	I/Imax
25.33	3.516	100
21.50	4.132	93
18.42	4.816	58
31.30	2.857	54
26.93	3.310	49
38.85	2.318	35
39.21	2.298	31
42.58	2.123	28
43.96	2.060	24
37.74	2.384	23

Cell: 5.1052 5.2889 7.0179 Å, 90.00 109.37 90.00°
Space group P2_1 (No. 4)
One atom of each set of equivalent atoms:
1 Hg 0.0053 0.0000 0.2487 (multiplicity 2)
2 C 0.4438 0.8697 0.7804 (multiplicity 2)
3 C 0.4518 0.6269 0.2802 (multiplicity 2)
4 O 0.1861 0.8248 0.6771 (multiplicity 2)
5 O 0.1938 0.6718 0.1768 (multiplicity 2)
6 O 0.3903 0.2634 0.5877 (multiplicity 2)
7 O 0.3980 0.2337 0.0868 (multiplicity 2)

***

(4)
Structure and simulated powder diffraction line list of PrNb3O9 (a PBE-relaxed structure; Cu Kα X-rays).
Kinematic intensities with the Lorentz-polarization factor, no thermal factor.

Principal peaks in the range 2θ = 10–90°, by intensity:
two_theta	d_spacing	I/Imax
26.49	3.365	100
27.43	3.251	85
30.52	2.929	80
28.30	3.153	65
32.92	2.720	54
30.10	2.969	53
10.62	8.327	52
25.38	3.509	41
22.98	3.870	36
46.97	1.934	35

Cell: 5.4444 7.7379 16.6649 Å, 90.00 92.03 90.00°
Space group P2_1/c (No. 14)
One atom of each set of equivalent atoms:
1 Pr 0.0333 0.2500 0.4678 (multiplicity 4)
2 Nb 0.0084 0.0295 0.2487 (multiplicity 4)
3 Nb 0.4724 0.0172 0.5999 (multiplicity 4)
4 Nb 0.4797 0.5011 0.6003 (multiplicity 4)
5 O 0.0969 0.2449 0.7409 (multiplicity 4)
6 O 0.1503 0.5539 0.6435 (multiplicity 4)
7 O 0.1543 0.5615 0.1436 (multiplicity 4)
8 O 0.2643 0.5360 0.9830 (multiplicity 4)
9 O 0.2638 0.5375 0.4829 (multiplicity 4)
10 O 0.3169 0.5487 0.8111 (multiplicity 4)
11 O 0.3200 0.5536 0.3102 (multiplicity 4)
12 O 0.3515 0.2492 0.0808 (multiplicity 4)
13 O 0.4390 0.2486 0.9048 (multiplicity 4)

***

(5)
Structure and simulated powder diffraction line list of ZnP2PbO7 (a PBE-relaxed structure; Cu Kα X-rays).
Kinematic intensities with the Lorentz-polarization factor, no thermal factor.

Principal peaks in the range 2θ = 10–90°, by intensity:
two_theta	d_spacing	I/Imax
26.16	3.406	100
13.53	6.544	96
26.84	3.321	78
28.42	3.140	65
30.19	2.960	61
27.71	3.219	53
29.49	3.029	46
17.73	5.002	43
33.13	2.704	41
42.83	2.111	32

Cell: 5.4086 8.4169 14.1286 Å, 90.00 112.14 90.00°
Space group P2_1/c (No. 14)
One atom of each set of equivalent atoms:
1 Zn 0.2238 0.1520 0.3958 (multiplicity 4)
2 P 0.0814 0.5363 0.3331 (multiplicity 4)
3 P 0.1625 0.7003 0.9798 (multiplicity 4)
4 Pb 0.4811 0.6730 0.7773 (multiplicity 4)
5 O 0.0195 0.1381 0.8459 (multiplicity 4)
6 O 0.1168 0.1683 0.5201 (multiplicity 4)
7 O 0.1648 0.6156 0.4450 (multiplicity 4)
8 O 0.1756 0.1191 0.2391 (multiplicity 4)
9 O 0.2210 0.5971 0.9003 (multiplicity 4)
10 O 0.3154 0.5593 0.2985 (multiplicity 4)
11 O 0.3901 0.6928 0.0856 (multiplicity 4)

***

(6)
Structure and simulated powder diffraction line list of LaMg (a PBE-relaxed structure; Cu Kα X-rays).
Kinematic intensities with the Lorentz-polarization factor, no thermal factor.

Principal peaks in the range 2θ = 10–90°, by intensity:
two_theta	d_spacing	I/Imax
31.91	2.804	100
22.42	3.966	56
56.86	1.619	38
51.52	1.774	24
45.75	1.983	18
39.35	2.290	18
75.86	1.254	16
66.70	1.402	12
71.34	1.322	12
80.28	1.196	7

Cell: 3.9661 3.9661 3.9661 Å, 90.00 90.00 90.00°
Space group Pm-3m (No. 221)
One atom of each set of equivalent atoms:
1 La 0.0000 0.0000 0.0000 (multiplicity 1)
2 Mg 0.5000 0.5000 0.5000 (multiplicity 1)

***

(7)
Structure and simulated powder diffraction line list of SrI2 (a PBE-relaxed structure; Cu Kα X-rays).
Kinematic intensities with the Lorentz-polarization factor, no thermal factor.

Principal peaks in the range 2θ = 10–90°, by intensity:
two_theta	d_spacing	I/Imax
28.44	3.138	100
35.03	2.562	42
22.71	3.916	37
29.99	2.980	27
35.81	2.508	22
42.52	2.126	17
47.38	1.919	15
46.37	1.958	14
51.99	1.759	11
56.78	1.621	11

Cell: 12.5362 5.0155 8.5010 Å, 90.00 90.00 90.00°
Space group Pnma (No. 62)
One atom of each set of equivalent atoms:
1 Sr 0.1702 0.2500 0.1319 (multiplicity 4)
2 I 0.1082 0.7500 0.8770 (multiplicity 4)
3 I 0.1225 0.7500 0.3806 (multiplicity 4)

***

(8)
Structure and simulated powder diffraction line list of Ca3In3N5 (a PBE-relaxed structure; Cu Kα X-rays).
Kinematic intensities with the Lorentz-polarization factor, no thermal factor.

Principal peaks in the range 2θ = 10–90°, by intensity:
two_theta	d_spacing	I/Imax
31.22	2.865	100
30.51	2.930	99
31.34	2.855	92
30.39	2.941	78
19.47	4.558	65
40.39	2.233	52
22.91	3.882	44
41.33	2.185	43
12.89	6.868	39
44.42	2.040	35

Cell: 6.5238 7.2138 8.9004 Å, 104.74 111.15 93.79°
Space group P-1 (No. 2)
One atom of each set of equivalent atoms:
1 Ca 0.1098 0.1036 0.1965 (multiplicity 2)
2 Ca 0.1846 0.3616 0.8941 (multiplicity 2)
3 Ca 0.3180 0.9269 0.5928 (multiplicity 2)
4 In 0.2251 0.4404 0.5622 (multiplicity 2)
5 In 0.3278 0.6513 0.2738 (multiplicity 2)
6 In 0.3905 0.8057 0.9637 (multiplicity 2)
7 N 0.0896 0.6165 0.3938 (multiplicity 2)
8 N 0.1406 0.7618 0.0653 (multiplicity 2)
9 N 0.2649 0.0332 0.8473 (multiplicity 2)
10 N 0.3724 0.1885 0.4836 (multiplicity 2)
11 N 0.4780 0.5509 0.8216 (multiplicity 2)